# MnVP2O8
Simulated PXRD pattern, CuKα. Input: a structure optimized by DFT (PBE+U).
Neutral-atom scattering factors, no anomalous dispersion.

Largest 10 diffraction maxima, in order of rising 2θ, 2θ from 10° to 90°:
2θ 20.7, I = 81, hkl 1 1 0; 2θ 24.3, I = 100, hkl 1 1 3; 2θ 25.4, I = 16, hkl 2 0 2; 2θ 32.1, I = 17, hkl 2 1 1; 2θ 32.9, I = 69, hkl 1 1 6; 2θ 36.2, I = 34, hkl 3 0 0; 2θ 47.3, I = 29, hkl 3 -2 8; 2θ 49.7, I = 25, hkl 4 -2 6; 2θ 56.6, I = 37, hkl 4 1 0; 2θ 63.0, I = 22, hkl 0 1 14

Structural model:
abc: 8.6025 8.6025 21.0671
angles: 90.00 90.00 120.00
Space group R3 (No. 146, hexagonal axes)
Unique sites:
Mn 0.0000 0.0000 0.0000 [3 per cell]
Mn 0.0000 0.0000 0.1406 [3 per cell]
Mn 0.0000 0.0000 0.6412 [3 per cell]
V 0.0000 0.0000 0.2846 [3 per cell]
V 0.0000 0.0000 0.4976 [3 per cell]
V 0.0000 0.0000 0.7858 [3 per cell]
P 0.9995 0.2885 0.8928 [9 per cell]
P 0.0416 0.6674 0.0579 [9 per cell]
O 0.0004 0.1917 0.8311 [9 per cell]
O 0.0007 0.8074 0.4518 [9 per cell]
O 0.0045 0.8086 0.3306 [9 per cell]
O 0.0195 0.1847 0.5619 [9 per cell]
O 0.0232 0.8375 0.0629 [9 per cell]
O 0.1422 0.4703 0.6200 [9 per cell]
O 0.1681 0.6846 0.3877 [9 per cell]
O 0.1695 0.4793 0.8872 [9 per cell]